Entry 1:
Calculated XRD peak list of MnSb2Te4 for copper Kα, from a cell relaxed with PBE.
Kinematic intensities with the Lorentz-polarization factor, no thermal factor.

Top 8 peaks for 2θ = 5–70°, low angle first:
Position (°2θ)  I (rel.)
12.74  45
24.46  52
25.64  91
28.76  69
30.40  100
30.79  29
40.72  41
42.82  40

Cell and atoms:
abc: 14.3463 4.2239 15.8817
angles: 90.00 90.00 90.00
Sites, in units of the cell vectors:
Mn 0.0947 0.2500 0.0319
Mn 0.4053 0.7500 0.5319
Mn 0.5947 0.2500 0.4681
Mn 0.9053 0.7500 0.9681
Sb 0.1063 0.7500 0.4350
Sb 0.1619 0.7500 0.8275
Sb 0.3381 0.2500 0.3275
Sb 0.3937 0.2500 0.9350
Sb 0.6063 0.7500 0.0650
Sb 0.6619 0.7500 0.6725
Sb 0.8381 0.2500 0.1725
Sb 0.8937 0.2500 0.5650
Te 0.0013 0.7500 0.1187
Te 0.0245 0.7500 0.6198
Te 0.2098 0.7500 0.2665
Te 0.2303 0.7500 0.9998
Te 0.2697 0.2500 0.4998
Te 0.2902 0.2500 0.7665
Te 0.4755 0.2500 0.1198
Te 0.4987 0.2500 0.6187
Te 0.5013 0.7500 0.3813
Te 0.5245 0.7500 0.8802
Te 0.7098 0.7500 0.2335
Te 0.7303 0.7500 0.5002
Te 0.7697 0.2500 0.0002
Te 0.7902 0.2500 0.7335
Te 0.9755 0.2500 0.3802
Te 0.9987 0.2500 0.8813

=====

Entry 2:
Calculated XRD peak list of MnSbTe2 for copper Kα, from a cell relaxed with PBE.
Kinematic intensities with the Lorentz-polarization factor, no thermal factor.

Top 8 peaks for 2θ = 5–70°, low angle first:
Position (°2θ)  I (rel.)
13.55  26
23.88  65
27.71  95
32.70  92
37.63  41
40.71  100
41.46  26
55.19  28

Cell and atoms:
abc: 3.8883 4.7804 13.0669
angles: 90.00 90.00 90.00
Sites, in units of the cell vectors:
Mn 0.0000 0.0000 0.0000
Mn 0.5000 0.5000 0.5000
Sb 0.0000 0.0000 0.5000
Sb 0.5000 0.5000 0.0000
Te 0.0000 0.5000 0.3478
Te 0.0000 0.5000 0.6522
Te 0.5000 0.0000 0.1522
Te 0.5000 0.0000 0.8478

=====

Entry 3:
Calculated XRD peak list of UMnSb3 for copper Kα, from a cell relaxed with PBE.
Kinematic intensities with the Lorentz-polarization factor, no thermal factor.

Top 8 peaks for 2θ = 5–70°, low angle first:
Position (°2θ)  I (rel.)
21.72  42
32.02  80
33.00  55
35.09  100
35.38  33
35.82  37
36.70  40
41.79  74

Cell and atoms:
abc: 12.6864 6.2266 6.0065
angles: 90.00 90.00 90.00
Sites, in units of the cell vectors:
U 0.1905 0.0084 0.2500
U 0.1905 0.4916 0.7500
U 0.8095 0.5084 0.2500
U 0.8095 0.9916 0.7500
Mn 0.4067 0.7500 0.0000
Mn 0.4067 0.7500 0.5000
Mn 0.5933 0.2500 0.0000
Mn 0.5933 0.2500 0.5000
Sb 0.0018 0.7500 0.0000
Sb 0.0018 0.7500 0.5000
Sb 0.2626 0.5131 0.2500
Sb 0.2626 0.9869 0.7500
Sb 0.4331 0.1016 0.2500
Sb 0.4331 0.3984 0.7500
Sb 0.5669 0.6016 0.2500
Sb 0.5669 0.8984 0.7500
Sb 0.7374 0.0131 0.2500
Sb 0.7374 0.4869 0.7500
Sb 0.9982 0.2500 0.0000
Sb 0.9982 0.2500 0.5000

=====

Entry 4:
Calculated XRD peak list of Zr2Mn2Sb for copper Kα, from a cell relaxed with PBE.
Kinematic intensities with the Lorentz-polarization factor, no thermal factor.

Top 8 peaks for 2θ = 5–70°, low angle first:
Position (°2θ)  I (rel.)
28.72  17
34.78  100
37.49  88
38.98  22
43.07  33
43.80  40
63.11  26
64.42  16

Cell and atoms:
abc: 6.5360 6.5360 4.2002
angles: 90.00 90.00 90.00
Sites, in units of the cell vectors:
Zr 0.1821 0.3179 0.0000
Zr 0.3179 0.8179 0.0000
Zr 0.6821 0.1821 0.0000
Zr 0.8179 0.6821 0.0000
Mn 0.1084 0.6084 0.5000
Mn 0.3916 0.1084 0.5000
Mn 0.6084 0.8916 0.5000
Mn 0.8916 0.3916 0.5000
Sb 0.0000 0.0000 0.5000
Sb 0.5000 0.5000 0.5000

=====

Entry 5:
Calculated XRD peak list of Sc5Mn for copper Kα, from a cell relaxed with PBE.
Kinematic intensities with the Lorentz-polarization factor, no thermal factor.

Top 8 peaks for 2θ = 5–70°, low angle first:
Position (°2θ)  I (rel.)
31.77  21
32.92  13
36.01  34
36.64  100
37.66  40
48.77  12
58.06  13
65.14  16

Cell and atoms:
abc: 4.9888 3.2916 16.3262
angles: 90.00 90.00 90.00
Sites, in units of the cell vectors:
Sc 0.0000 0.0000 0.0000
Sc 0.0000 0.0000 0.3153
Sc 0.0000 0.5000 0.5000
Sc 0.0000 0.5000 0.8153
Sc 0.5000 0.0000 0.2035
Sc 0.5000 0.0000 0.5463
Sc 0.5000 0.0000 0.8780
Sc 0.5000 0.5000 0.0463
Sc 0.5000 0.5000 0.3780
Sc 0.5000 0.5000 0.7035
Mn 0.0000 0.0000 0.6572
Mn 0.0000 0.5000 0.1572

=====

Entry 6:
Calculated XRD peak list of Sc6Mn7 for copper Kα, from a cell relaxed with PBE.
Kinematic intensities with the Lorentz-polarization factor, no thermal factor.

Top 8 peaks for 2θ = 5–70°, low angle first:
Position (°2θ)  I (rel.)
9.00  56
36.83  39
37.20  64
39.85  83
41.32  100
42.91  54
44.61  40
45.61  88

Cell and atoms:
abc: 10.2172 10.2172 10.2172
angles: 27.63 27.63 27.63
Sites, in units of the cell vectors:
Sc 0.0509 0.0509 0.0509
Sc 0.1495 0.1495 0.1495
Sc 0.3330 0.3330 0.3330
Sc 0.6670 0.6670 0.6670
Sc 0.8505 0.8505 0.8505
Sc 0.9491 0.9491 0.9491
Mn 0.0915 0.5987 0.5987
Mn 0.4013 0.4013 0.9085
Mn 0.4013 0.9085 0.4013
Mn 0.5000 0.5000 0.5000
Mn 0.5987 0.0915 0.5987
Mn 0.5987 0.5987 0.0915
Mn 0.9085 0.4013 0.4013

=====

Entry 7:
Calculated XRD peak list of Sc5Mn3 for copper Kα, from a cell relaxed with PBE.
Kinematic intensities with the Lorentz-polarization factor, no thermal factor.

Top 8 peaks for 2θ = 5–70°, low angle first:
Position (°2θ)  I (rel.)
32.51  21
34.65  43
36.80  55
38.05  55
38.72  100
40.69  32
49.28  25
62.18  22

Cell and atoms:
abc: 7.9698 7.9698 7.9698
angles: 96.86 96.86 139.57
Sites, in units of the cell vectors:
Sc 0.0000 0.5000 0.5000
Sc 0.0352 0.1697 0.7059
Sc 0.1697 0.4637 0.1344
Sc 0.3293 0.0352 0.8656
Sc 0.4637 0.3293 0.2941
Sc 0.5000 0.0000 0.5000
Sc 0.5352 0.8293 0.8656
Sc 0.6697 0.5352 0.7059
Sc 0.8293 0.9637 0.2941
Sc 0.9637 0.6697 0.1344
Mn 0.0000 0.0000 0.0000
Mn 0.0872 0.9119 0.5000
Mn 0.4119 0.5872 0.5000
Mn 0.5000 0.5000 0.0000
Mn 0.5872 0.0872 0.1753
Mn 0.9119 0.4119 0.8247

=====

Entry 8:
Calculated XRD peak list of Sc5Mn24 for copper Kα, from a cell relaxed with PBE.
Kinematic intensities with the Lorentz-polarization factor, no thermal factor.

Top 8 peaks for 2θ = 5–70°, low angle first:
Position (°2θ)  I (rel.)
13.98  2
24.34  3
40.27  5
42.83  100
47.62  25
49.88  8
52.06  18
69.63  2

Cell and atoms:
abc: 7.7570 7.7570 7.7570
angles: 109.47 109.47 109.47
Sites, in units of the cell vectors:
Sc 0.0000 0.0000 0.0000
Sc 0.0000 0.0000 0.6228
Sc 0.0000 0.6228 0.0000
Sc 0.3772 0.3772 0.3772
Sc 0.6228 0.0000 0.0000
Mn 0.0000 0.1952 0.3765
Mn 0.0000 0.3765 0.1952
Mn 0.0000 0.3861 0.6669
Mn 0.0000 0.6669 0.3861
Mn 0.1813 0.8048 0.8048
Mn 0.1952 0.0000 0.3765
Mn 0.1952 0.3765 0.0000
Mn 0.2809 0.6139 0.6139
Mn 0.3331 0.3331 0.7191
Mn 0.3331 0.7191 0.3331
Mn 0.3765 0.0000 0.1952
Mn 0.3765 0.1952 0.0000
Mn 0.3861 0.0000 0.6669
Mn 0.3861 0.6669 0.0000
Mn 0.6139 0.2809 0.6139
Mn 0.6139 0.6139 0.2809
Mn 0.6235 0.6235 0.8187
Mn 0.6235 0.8187 0.6235
Mn 0.6669 0.0000 0.3861
Mn 0.6669 0.3861 0.0000
Mn 0.7191 0.3331 0.3331
Mn 0.8048 0.1813 0.8048
Mn 0.8048 0.8048 0.1813
Mn 0.8187 0.6235 0.6235